HgTeMo4: theoretical powder XRD pattern (Cu Kα), based on a cell relaxed with GGA-PBE.

Peak list (6 most intense, 2θ from 10° to 90°, most intense first)
2θ/deg, intensity
39.15, 100
33.20, 45
63.32, 32
40.96, 25
69.69, 25
59.32, 17

Structural model:
```
data_HgTeMo4
_chemical_formula_sum 'Hg4 Te4 Mo16'
_cell_length_a 7.6323
_cell_length_b 7.6323
_cell_length_c 7.6323
_cell_angle_alpha 90.00
_cell_angle_beta 90.00
_cell_angle_gamma 90.00
_symmetry_space_group_name_H-M 'F -4 3 m'
_symmetry_Int_Tables_number 216
_symmetry_space_group_name_Hall 'F -4 2 3'
loop_
_atom_site_label
_atom_site_type_symbol
_atom_site_fract_x
_atom_site_fract_y
_atom_site_fract_z
_atom_site_occupancy
Hg1 Hg 0.0000 0.0000 0.0000 1
Te1 Te 0.2500 0.2500 0.2500 1
Mo1 Mo 0.1274 0.1274 0.6274 1
```

Tl2HgMo: theoretical powder XRD pattern (Cu Kα), based on a cell relaxed with GGA-PBE.

Peak list (6 most intense, 2θ from 10° to 90°, most intense first)
2θ/deg, intensity
26.01, 100
37.53, 99
36.40, 51
37.80, 34
63.69, 31
43.69, 31

Structural model:
```
data_Tl2HgMo
_chemical_formula_sum 'Tl4 Hg2 Mo2'
_cell_length_a 2.9693
_cell_length_b 4.9346
_cell_length_c 14.2791
_cell_angle_alpha 90.00
_cell_angle_beta 90.00
_cell_angle_gamma 90.00
_symmetry_space_group_name_H-M 'I m m m'
_symmetry_Int_Tables_number 71
_symmetry_space_group_name_Hall '-I 2 2'
loop_
_atom_site_label
_atom_site_type_symbol
_atom_site_fract_x
_atom_site_fract_y
_atom_site_fract_z
_atom_site_occupancy
Tl1 Tl 0.0000 0.0000 0.1795 1
Hg1 Hg 0.0000 0.5000 0.0000 1
Mo1 Mo 0.0000 0.5000 0.5000 1
```

HgMoW2: theoretical powder XRD pattern (Cu Kα), based on a cell relaxed with GGA-PBE.

Peak list (6 most intense, 2θ from 10° to 90°, most intense first)
2θ/deg, intensity
39.17, 100
56.58, 25
39.66, 25
38.61, 25
71.64, 17
70.24, 16

Structural model:
```
data_HgMoW2
_chemical_formula_sum 'Hg2 Mo2 W4'
_cell_length_a 3.2500
_cell_length_b 4.5455
_cell_length_c 9.3277
_cell_angle_alpha 90.00
_cell_angle_beta 90.00
_cell_angle_gamma 90.00
_symmetry_space_group_name_H-M 'C m m 2'
_symmetry_Int_Tables_number 35
loop_
_symmetry_equiv_pos_as_xyz
'x,y,z'
'-x,-y,z'
'-x,y,z'
'x,-y,z'
'x+1/2,y+1/2,z'
'-x+1/2,-y+1/2,z'
'-x+1/2,y+1/2,z'
'x+1/2,-y+1/2,z'
loop_
_atom_site_label
_atom_site_type_symbol
_atom_site_fract_x
_atom_site_fract_y
_atom_site_fract_z
_atom_site_occupancy
Hg1 Hg 0.0000 0.0000 0.0000 1
Mo1 Mo 0.0000 0.5000 0.7347 1
W1 W 0.0000 0.0000 0.5023 1
W2 W 0.0000 0.5000 0.2686 1
```

Zn2HgMo: theoretical powder XRD pattern (Cu Kα), based on a cell relaxed with GGA-PBE.

Peak list (6 most intense, 2θ from 10° to 90°, most intense first)
2θ/deg, intensity
38.70, 100
47.24, 28
25.18, 26
63.71, 23
40.18, 22
82.06, 22

Structural model:
```
data_Zn2HgMo
_chemical_formula_sum 'Zn4 Hg2 Mo2'
_cell_length_a 3.8478
_cell_length_b 3.8478
_cell_length_c 8.9782
_cell_angle_alpha 90.00
_cell_angle_beta 90.00
_cell_angle_gamma 90.00
_symmetry_space_group_name_H-M 'I -4 m 2'
_symmetry_Int_Tables_number 119
_symmetry_space_group_name_Hall 'I -4 -2'
loop_
_atom_site_label
_atom_site_type_symbol
_atom_site_fract_x
_atom_site_fract_y
_atom_site_fract_z
_atom_site_occupancy
Zn1 Zn 0.0000 0.0000 0.0000 1
Zn2 Zn 0.0000 0.5000 0.2500 1
Hg1 Hg 0.0000 0.5000 0.7500 1
Mo1 Mo 0.0000 0.0000 0.5000 1
```

NdHgN: theoretical powder XRD pattern (Cu Kα), based on a cell relaxed with GGA-PBE.

Peak list (6 most intense, 2θ from 10° to 90°, most intense first)
2θ/deg, intensity
33.83, 100
30.40, 84
32.19, 74
48.42, 69
35.16, 56
60.39, 39

Structural model:
```
data_NdHgN
_chemical_formula_sum 'Nd4 Hg4 N4'
_cell_length_a 3.7584
_cell_length_b 12.4005
_cell_length_c 5.1051
_cell_angle_alpha 90.00
_cell_angle_beta 90.00
_cell_angle_gamma 90.00
_symmetry_space_group_name_H-M 'C m c m'
_symmetry_Int_Tables_number 63
_symmetry_space_group_name_Hall '-C 2c 2'
loop_
_atom_site_label
_atom_site_type_symbol
_atom_site_fract_x
_atom_site_fract_y
_atom_site_fract_z
_atom_site_occupancy
Nd1 Nd 0.0000 0.1767 0.2500 1
Hg1 Hg 0.0000 0.4466 0.2500 1
N1 N 0.0000 0.2078 0.7500 1
```

Nd7Hg3N2: theoretical powder XRD pattern (Cu Kα), based on a cell relaxed with GGA-PBE.

Peak list (6 most intense, 2θ from 10° to 90°, most intense first)
2θ/deg, intensity
31.20, 100
35.60, 19
35.94, 18
37.01, 17
61.21, 15
61.67, 15

Structural model:
```
data_Nd7Hg3N2
_chemical_formula_sum 'Nd14 Hg6 N4'
_cell_length_a 5.0441
_cell_length_b 24.2927
_cell_length_c 4.9975
_cell_angle_alpha 90.00
_cell_angle_beta 90.00
_cell_angle_gamma 90.00
_symmetry_space_group_name_H-M 'C m m m'
_symmetry_Int_Tables_number 65
_symmetry_space_group_name_Hall '-C 2 2'
loop_
_atom_site_label
_atom_site_type_symbol
_atom_site_fract_x
_atom_site_fract_y
_atom_site_fract_z
_atom_site_occupancy
Nd1 Nd 0.0000 0.0000 0.0000 1
Nd2 Nd 0.0000 0.1015 0.5000 1
Nd3 Nd 0.0000 0.2033 0.0000 1
Nd4 Nd 0.0000 0.3998 0.0000 1
Hg1 Hg 0.0000 0.3008 0.5000 1
Hg2 Hg 0.0000 0.5000 0.5000 1
N1 N 0.0000 0.1043 0.0000 1
```

Ni4Hg2N: theoretical powder XRD pattern (Cu Kα), based on a cell relaxed with GGA-PBE.

Peak list (6 most intense, 2θ from 10° to 90°, most intense first)
2θ/deg, intensity
30.94, 100
43.25, 86
36.26, 84
33.66, 76
48.34, 72
40.00, 51

Structural model:
```
data_Ni4Hg2N
_chemical_formula_sum 'Ni8 Hg4 N2'
_cell_length_a 3.7657
_cell_length_b 3.7657
_cell_length_c 13.5250
_cell_angle_alpha 90.00
_cell_angle_beta 90.00
_cell_angle_gamma 90.00
_symmetry_space_group_name_H-M 'I 4/m m m'
_symmetry_Int_Tables_number 139
_symmetry_space_group_name_Hall '-I 4 2'
loop_
_atom_site_label
_atom_site_type_symbol
_atom_site_fract_x
_atom_site_fract_y
_atom_site_fract_z
_atom_site_occupancy
Ni1 Ni 0.0000 0.0000 0.1384 1
Ni2 Ni 0.0000 0.5000 0.0000 1
Hg1 Hg 0.0000 0.0000 0.3335 1
N1 N 0.0000 0.0000 0.0000 1
```

NiHgN2: theoretical powder XRD pattern (Cu Kα), based on a cell relaxed with GGA-PBE.

Peak list (6 most intense, 2θ from 10° to 90°, most intense first)
2θ/deg, intensity
35.73, 100
39.78, 60
29.52, 51
14.64, 48
34.66, 36
53.46, 36

Structural model:
```
data_NiHgN2
_chemical_formula_sum 'Ni3 Hg3 N6'
_cell_length_a 3.0194
_cell_length_b 3.0194
_cell_length_c 18.1579
_cell_angle_alpha 90.00
_cell_angle_beta 90.00
_cell_angle_gamma 120.00
_symmetry_space_group_name_H-M 'R -3 m'
_symmetry_Int_Tables_number 166
_symmetry_space_group_name_Hall '-R 3 2"'
loop_
_atom_site_label
_atom_site_type_symbol
_atom_site_fract_x
_atom_site_fract_y
_atom_site_fract_z
_atom_site_occupancy
Ni1 Ni 0.0000 0.0000 0.0000 1
Hg1 Hg 0.0000 0.0000 0.5000 1
N1 N 0.0000 0.0000 0.3827 1
```